Simulated XRD peak list
Compound: Tm3S4
Radiation: Cu Ka
Structure: a structure optimized by DFT (PBE)

Structure:
a = 14.139 Å, b = 3.885 Å, c = 6.766 Å
α = 90.00°, β = 116.45°, γ = 90.00°
Space group C2/m (No. 12)
Asymmetric unit:
Tm1 0.000 0.000 0.000
Tm2 0.229 0.500 0.721
S1 0.124 0.000 0.440
S2 0.137 0.500 0.999

The 8 most intense peaks (2θ from 15° to 90°), in order of falling intensity:
2θ = 26.43°, intensity 1000; 2θ = 38.68°, intensity 364; 2θ = 39.42°, intensity 330; 2θ = 46.59°, intensity 288; 2θ = 31.30°, intensity 216; 2θ = 39.72°, intensity 180; 2θ = 29.82°, intensity 174; 2θ = 24.45°, intensity 161